No. 1
Starting from a cell relaxed with GGA-PBE, the powder diffractogram of LaY6Th2 was calculated for CuKα.
Peak positions follow from Bragg's law for the DFT cell and can differ from measured ones.

Peak list (10 most intense, 5° ≤ 2θ ≤ 70°, sorted by position)
d/Å, I_rel
8.884, 58
3.117, 57
2.961, 61
2.941, 38
2.823, 85
2.691, 100
2.551, 34
2.147, 39
1.800, 44
1.538, 51

Crystal structure
```
LaY6Th2
1.0
3.599 0.000 0.000
-1.800 3.117 0.000
0.000 0.000 26.651
La Y Th
1 6 2
direct
0.000 0.000 0.000
0.000 0.000 0.221
0.000 0.000 0.438
0.000 0.000 0.562
0.000 0.000 0.779
0.333 0.667 0.114
0.333 0.667 0.886
0.333 0.667 0.332
0.333 0.667 0.668
```

=====

No. 2
Starting from a cell relaxed with GGA-PBE, the powder diffractogram of K2YH4 was calculated for CuKα.
Peak positions follow from Bragg's law for the DFT cell and can differ from measured ones.

Peak list (10 most intense, 5° ≤ 2θ ≤ 70°, sorted by position)
d/Å, I_rel
7.184, 23
4.121, 14
3.201, 100
3.042, 46
2.392, 20
2.151, 17
1.882, 19
1.785, 34
1.600, 17
1.497, 8

Crystal structure
```
K2YH4
1.0
-2.151 2.151 7.184
2.151 -2.151 7.184
2.151 2.151 -7.184
K Y H
2 1 4
direct
0.156 0.156 0.000
0.844 0.844 0.000
0.500 0.500 0.000
0.000 0.500 0.500
0.344 0.344 0.000
0.500 0.000 0.500
0.656 0.656 0.000
```

=====

No. 3
Starting from a cell relaxed with GGA-PBE, the powder diffractogram of Na6PbAu was calculated for CuKα.
Peak positions follow from Bragg's law for the DFT cell and can differ from measured ones.

Peak list (10 most intense, 5° ≤ 2θ ≤ 70°, sorted by position)
d/Å, I_rel
4.875, 81
4.656, 37
3.447, 36
3.367, 68
2.770, 100
2.437, 35
2.180, 21
1.974, 32
1.684, 22
1.463, 28

Crystal structure
```
Na6PbAu
1.0
4.875 0.000 0.000
0.000 4.875 0.000
0.000 0.000 9.313
Na Pb Au
6 1 1
direct
0.000 0.000 0.000
0.000 0.000 0.500
0.000 0.500 0.236
0.000 0.500 0.764
0.500 0.000 0.236
0.500 0.000 0.764
0.500 0.500 0.500
0.500 0.500 0.000
```

=====

No. 4
Starting from a cell relaxed with GGA-PBE, the powder diffractogram of Na15In was calculated for CuKα.
Peak positions follow from Bragg's law for the DFT cell and can differ from measured ones.

Peak list (10 most intense, 5° ≤ 2θ ≤ 70°, sorted by position)
d/Å, I_rel
12.120, 27
6.319, 19
5.603, 28
3.159, 26
3.030, 27
2.801, 100
2.187, 18
1.824, 17
1.702, 23
1.563, 20

Crystal structure
```
Na15In
1.0
7.296 0.000 0.000
-3.648 6.319 0.000
0.000 0.000 12.120
Na In
15 1
direct
0.000 0.000 0.000
0.003 0.502 0.500
0.322 0.161 0.261
0.322 0.161 0.739
0.333 0.667 0.243
0.333 0.667 0.757
0.498 0.502 0.500
0.498 0.997 0.500
0.502 0.004 0.000
0.502 0.498 0.000
0.839 0.161 0.261
0.839 0.161 0.739
0.839 0.678 0.261
0.839 0.678 0.739
0.996 0.498 0.000
0.000 0.000 0.500
```

=====

No. 5
Starting from a cell relaxed with GGA-PBE, the powder diffractogram of Tb14ScHg was calculated for CuKα.
Peak positions follow from Bragg's law for the DFT cell and can differ from measured ones.

Peak list (10 most intense, 5° ≤ 2θ ≤ 70°, sorted by position)
d/Å, I_rel
3.166, 9
2.833, 100
2.824, 13
2.704, 15
2.693, 29
2.645, 10
2.439, 14
1.908, 9
1.664, 9
1.580, 15

Crystal structure
```
Tb14ScHg
1.0
10.771 0.000 0.000
0.000 4.230 5.408
0.000 -4.230 5.408
Tb Sc Hg
14 1 1
direct
0.000 0.000 0.000
0.000 0.444 0.444
0.000 0.526 0.927
0.000 0.927 0.526
0.230 0.221 0.221
0.263 0.299 0.714
0.263 0.714 0.299
0.279 0.792 0.792
0.500 0.079 0.494
0.500 0.494 0.079
0.721 0.792 0.792
0.737 0.299 0.714
0.737 0.714 0.299
0.770 0.221 0.221
0.500 0.015 0.015
0.500 0.576 0.576
```

=====

No. 6
Starting from a cell relaxed with GGA-PBE, the powder diffractogram of Pr12TmAl3 was calculated for CuKα.
Peak positions follow from Bragg's law for the DFT cell and can differ from measured ones.

Peak list (10 most intense, 5° ≤ 2θ ≤ 70°, sorted by position)
d/Å, I_rel
4.975, 5
3.543, 4
2.886, 100
2.524, 16
2.488, 33
1.772, 22
1.759, 12
1.518, 12
1.502, 28
1.443, 12

Crystal structure
```
Pr12TmAl3
1.0
4.975 0.000 0.000
0.000 4.975 0.000
0.000 0.000 20.191
Pr Tm Al
12 1 3
direct
0.000 0.000 0.000
0.000 0.000 0.244
0.000 0.000 0.500
0.000 0.000 0.756
0.000 0.500 0.122
0.000 0.500 0.367
0.000 0.500 0.633
0.000 0.500 0.878
0.500 0.000 0.122
0.500 0.000 0.367
0.500 0.000 0.633
0.500 0.000 0.878
0.500 0.500 0.500
0.500 0.500 0.000
0.500 0.500 0.244
0.500 0.500 0.756
```

=====

No. 7
Starting from a cell relaxed with GGA-PBE, the powder diffractogram of Pm7SmPb2 was calculated for CuKα.
Peak positions follow from Bragg's law for the DFT cell and can differ from measured ones.

Peak list (10 most intense, 5° ≤ 2θ ≤ 70°, sorted by position)
d/Å, I_rel
5.613, 61
4.672, 32
4.606, 29
3.247, 38
3.030, 57
2.806, 59
2.685, 80
2.655, 100
2.058, 44
1.549, 27

Crystal structure
```
Pm7SmPb2
1.0
4.672 -7.960 0.000
4.672 7.960 0.000
0.000 0.000 5.613
Pm Sm Pb
7 1 2
direct
0.000 0.000 0.000
0.198 0.441 0.000
0.275 0.725 0.500
0.441 0.198 0.000
0.559 0.802 0.000
0.725 0.275 0.500
0.802 0.559 0.000
0.500 0.500 0.500
0.196 0.804 0.000
0.804 0.196 0.000
```

=====

No. 8
Starting from a cell relaxed with GGA-PBE, the powder diffractogram of CuNi6Ir2 was calculated for CuKα.
Peak positions follow from Bragg's law for the DFT cell and can differ from measured ones.

Peak list (10 most intense, 5° ≤ 2θ ≤ 70°, sorted by position)
d/Å, I_rel
10.028, 19
5.014, 23
3.776, 26
3.342, 30
2.413, 32
2.237, 23
2.086, 100
2.009, 67
1.863, 28
1.850, 43

Crystal structure
```
CuNi6Ir2
1.0
4.209 -1.294 0.000
4.209 1.294 0.000
-0.727 0.000 10.028
Cu Ni Ir
1 6 2
direct
0.000 0.000 0.000
0.131 0.131 0.434
0.282 0.282 0.106
0.433 0.433 0.785
0.567 0.567 0.215
0.718 0.718 0.894
0.869 0.869 0.566
0.149 0.149 0.682
0.851 0.851 0.318
```

=====

No. 9
Starting from a cell relaxed with GGA-PBE, the powder diffractogram of Si4PbO8 was calculated for CuKα.
Peak positions follow from Bragg's law for the DFT cell and can differ from measured ones.

Peak list (10 most intense, 5° ≤ 2θ ≤ 70°, sorted by position)
d/Å, I_rel
8.148, 100
4.034, 52
3.062, 65
2.681, 32
2.547, 42
2.344, 21
2.322, 11
2.240, 12
1.765, 13
1.612, 19

Crystal structure
```
Si4PbO8
1.0
5.362 0.000 0.000
-2.681 4.644 0.000
0.000 0.000 8.148
Si Pb O
4 1 8
direct
0.333 0.667 0.203
0.333 0.667 0.797
0.667 0.333 0.203
0.667 0.333 0.797
0.000 0.000 0.000
0.000 0.500 0.270
0.000 0.500 0.730
0.333 0.667 0.000
0.500 0.000 0.270
0.500 0.000 0.730
0.500 0.500 0.270
0.500 0.500 0.730
0.667 0.333 0.000
```

=====

No. 10
Starting from a cell relaxed with GGA-PBE, the powder diffractogram of NaMg14Zn was calculated for CuKα.
Peak positions follow from Bragg's law for the DFT cell and can differ from measured ones.

Peak list (10 most intense, 5° ≤ 2θ ≤ 70°, sorted by position)
d/Å, I_rel
10.487, 9
5.481, 5
4.858, 9
2.741, 24
2.622, 27
2.429, 100
1.894, 16
1.582, 17
1.474, 20
1.355, 19

Crystal structure
```
NaMg14Zn
1.0
6.329 0.000 0.000
-3.165 5.481 0.000
0.000 0.000 10.487
Na Mg Zn
1 14 1
direct
0.000 0.000 0.000
0.005 0.502 0.000
0.166 0.332 0.258
0.166 0.332 0.742
0.166 0.834 0.258
0.166 0.834 0.742
0.498 0.502 0.000
0.498 0.995 0.000
0.502 0.004 0.500
0.502 0.498 0.500
0.667 0.333 0.244
0.667 0.333 0.756
0.668 0.834 0.258
0.668 0.834 0.742
0.996 0.498 0.500
0.000 0.000 0.500
```

=====

No. 11
Starting from a cell relaxed with GGA-PBE, the powder diffractogram of Ce4MnGe8 was calculated for CuKα.
Peak positions follow from Bragg's law for the DFT cell and can differ from measured ones.

Peak list (10 most intense, 5° ≤ 2θ ≤ 70°, sorted by position)
d/Å, I_rel
3.647, 11
3.329, 10
2.733, 11
2.578, 100
2.269, 15
2.099, 17
2.036, 15
1.671, 7
1.541, 9
1.461, 10

Crystal structure
```
Ce4MnGe8
1.0
4.072 0.000 0.000
0.000 4.198 0.000
0.000 0.000 16.395
Ce Mn Ge
4 1 8
direct
0.000 0.000 0.000
0.000 0.500 0.491
0.500 0.000 0.783
0.500 0.500 0.283
0.000 0.500 0.705
0.000 0.000 0.335
0.000 0.000 0.627
0.000 0.500 0.141
0.000 0.500 0.851
0.500 0.000 0.143
0.500 0.000 0.436
0.500 0.500 0.625
0.500 0.500 0.950
```

=====

No. 12
Starting from a cell relaxed with GGA-PBE, the powder diffractogram of LiLa2RuO5 was calculated for CuKα.
Peak positions follow from Bragg's law for the DFT cell and can differ from measured ones.

Peak list (10 most intense, 5° ≤ 2θ ≤ 70°, sorted by position)
d/Å, I_rel
5.812, 58
4.926, 67
3.116, 31
2.988, 100
2.906, 36
2.746, 86
2.125, 62
2.060, 51
1.622, 27
1.454, 25

Crystal structure
```
LiLa2RuO5
1.0
6.967 0.000 0.000
0.000 6.967 0.000
0.000 0.000 5.812
Li La Ru O
2 4 2 10
direct
0.000 0.000 0.000
0.500 0.500 0.000
0.179 0.321 0.500
0.321 0.821 0.500
0.679 0.179 0.500
0.821 0.679 0.500
0.000 0.500 0.000
0.500 0.000 0.000
0.000 0.000 0.500
0.134 0.634 0.245
0.134 0.634 0.755
0.366 0.134 0.245
0.366 0.134 0.755
0.500 0.500 0.500
0.634 0.866 0.245
0.634 0.866 0.755
0.866 0.366 0.245
0.866 0.366 0.755
```